# 1
# Er4SnTe2S
Theoretical XRD peak list, Cu Kα X-rays. Input: the PBE geometry in Alexandria.
No peak broadening, texture or thermal motion is included.

Crystal structure
Lattice parameters (Å, degrees): 7.2684 4.2151 7.4379 90.00 109.20 90.00
Space group P2/m (No. 10)
Asymmetric unit:
Er 0.2265 0.0000 0.2161
Er 0.2451 0.5000 0.7724
Sn 0.5000 0.0000 0.0000
Te 0.0000 0.0000 0.5000
Te 0.5000 0.5000 0.5000
S 0.0000 0.5000 0.0000

The 10 most intense peaks (2θ from 10° to 90°), in order of falling intensity:
index  d/Å  Rel. int.
2 0 -2  2.996  100
3 1 -1  2.101  25
1 1 -3  2.137  23
2 2 -2  1.724  13
0 2 0  2.108  13
2 0 2  2.130  11
4 0 -4  1.498  11
5 1 -3  1.331  11
3 1 -5  1.349  9
4 0 0  1.716  6

# 2
# HfPaCuO6
Theoretical XRD peak list, Cu Kα X-rays. Input: the PBE geometry in Alexandria.
No peak broadening, texture or thermal motion is included.

Crystal structure
Lattice parameters (Å, degrees): 5.1935 5.1935 4.9061 90.00 90.00 120.00
Space group P312 (No. 149)
Asymmetric unit:
Hf 0.0000 0.0000 0.0000
Pa 0.6667 0.3333 0.5000
Cu 0.3333 0.6667 0.0000
O 0.0107 0.3398 0.2339

The 10 most intense peaks (2θ from 10° to 90°), in order of falling intensity:
index  d/Å  Rel. int.
1 0 1  3.315  100
1 1 0  2.597  36
2 -1 2  1.783  35
2 0 1  2.044  27
3 -1 1  1.606  25
1 0 0  4.498  14
3 0 0  1.499  11
1 0 3  1.537  11
3 1 1  1.209  10
2 1 3  1.179  9

# 3
# TlCu6Te4
Theoretical XRD peak list, Cu Kα X-rays. Input: the PBE geometry in Alexandria.
No peak broadening, texture or thermal motion is included.

Crystal structure
Lattice parameters (Å, degrees): 4.0848 4.0848 29.1432 90.00 90.00 90.00
Space group I4/mmm (No. 139)
Asymmetric unit:
Tl 0.0000 0.0000 0.0000
Cu 0.0000 0.5000 0.1286
Cu 0.0000 0.5000 0.2500
Te 0.0000 0.0000 0.1910
Te 0.0000 0.0000 0.4265

The 10 most intense peaks (2θ from 10° to 90°), in order of falling intensity:
index  d/Å  Rel. int.
1 0 5  3.345  100
2 0 0  2.042  42
1 1 8  2.263  42
2 1 5  1.743  31
1 1 10  2.051  24
1 0 7  2.916  21
1 1 2  2.833  18
2 0 16  1.359  16
2 2 0  1.444  13
1 1 4  2.685  13